Record 1
The following is a computed XRD peak list of NaCaH3. It was derived from a crystal structure in Alexandria, relaxed with GGA-PBE, using Cu Kα.
Intensities are scaled so that the largest is 100.

Main lines, by intensity (15° ≤ 2θ ≤ 90°):
2θ/deg	I_rel
29.55	100
30.73	99
43.15	35
53.90	33
21.19	33
47.75	20
54.63	19
51.66	12
72.04	12
64.00	10

Cell and atoms:
Cell lengths 6.0561, 6.0561, 6.0561 Å; angles 57.43, 57.43, 57.43 degrees
Fractional positions:
Na 0.0000 0.0000 0.0000
Na 0.5000 0.5000 0.5000
Ca 0.2802 0.2802 0.2802
Ca 0.7802 0.7802 0.7802
H 0.0897 0.3959 0.6655
H 0.1655 0.8959 0.5897
H 0.3959 0.6655 0.0897
H 0.5897 0.1655 0.8959
H 0.6655 0.0897 0.3959
H 0.8959 0.5897 0.1655

Record 2
The following is a computed XRD peak list of NaCaH. It was derived from a crystal structure in Alexandria, relaxed with GGA-PBE, using Cu Kα.
Intensities are scaled so that the largest is 100.

Main lines, by intensity (15° ≤ 2θ ≤ 90°):
2θ/deg	I_rel
29.10	100
32.55	35
55.97	27
49.30	21
46.70	13
35.98	13
60.33	10
60.51	10
79.74	8
88.64	6

Cell and atoms:
Cell lengths 3.8901, 3.8901, 9.9849 Å; angles 90.00, 90.00, 90.00 degrees
Fractional positions:
Na 0.2500 0.2500 0.1126
Na 0.7500 0.7500 0.8874
Ca 0.2500 0.2500 0.6206
Ca 0.7500 0.7500 0.3794
H 0.2500 0.7500 0.5000
H 0.7500 0.2500 0.5000